Entry 1:
The following is a computed X-ray powder pattern of La2Ni3AgGe4. It was derived from a crystal structure in Alexandria, relaxed with GGA-PBE, using Cu Ka.
No peak broadening, texture or thermal motion is included.

Structural model:
```
data_La2Ni3AgGe4
_chemical_formula_sum 'La2 Ni3 Ag1 Ge4'
_space_group_name_H-M_alt 'P 1'
_space_group_IT_number 1
_cell_length_a 4.282
_cell_length_b 4.282
_cell_length_c 9.978
_cell_angle_alpha 90.00
_cell_angle_beta 90.00
_cell_angle_gamma 90.00
loop_
_space_group_symop_operation_xyz
'x,y,z'
loop_
_atom_site_label
_atom_site_fract_x
_atom_site_fract_y
_atom_site_fract_z
La1 0.000 0.500 0.243
La2 0.500 0.000 0.757
Ni1 0.000 0.500 0.885
Ni2 0.500 0.000 0.115
Ni3 0.500 0.500 0.500
Ag1 0.000 0.000 0.500
Ge1 0.000 0.000 0.000
Ge2 0.000 0.500 0.645
Ge3 0.500 0.000 0.355
Ge4 0.500 0.500 0.000
```

Largest 6 diffraction maxima, sorted by position, 10 to 80 degrees two-theta:
2θ/deg	I (rel.)
34.1	52.7
34.7	100.0
42.2	57.8
50.5	20.1
55.4	25.7
72.3	22.4


Entry 2:
The following is a computed X-ray powder pattern of LaAgGeO4. It was derived from a crystal structure in Alexandria, relaxed with GGA-PBE, using Cu Ka.
No peak broadening, texture or thermal motion is included.

Structural model:
```
data_LaAgGeO4
_chemical_formula_sum 'La2 Ag2 Ge2 O8'
_space_group_name_H-M_alt 'P 1'
_space_group_IT_number 1
_cell_length_a 6.606
_cell_length_b 6.606
_cell_length_c 6.606
_cell_angle_alpha 124.97
_cell_angle_beta 106.06
_cell_angle_gamma 98.63
loop_
_space_group_symop_operation_xyz
'x,y,z'
loop_
_atom_site_label
_atom_site_fract_x
_atom_site_fract_y
_atom_site_fract_z
La1 0.000 0.000 0.000
La2 0.500 0.000 0.500
Ag1 0.500 0.000 0.000
Ag2 0.500 0.500 0.500
Ge1 0.127 0.377 0.750
Ge2 0.873 0.623 0.250
O1 0.167 0.729 0.439
O2 0.210 0.271 0.939
O3 0.251 0.254 0.504
O4 0.251 0.747 0.996
O5 0.749 0.253 0.004
O6 0.749 0.746 0.496
O7 0.790 0.729 0.061
O8 0.833 0.271 0.561
```

Largest 6 diffraction maxima, sorted by position, 10 to 80 degrees two-theta:
2θ/deg	I (rel.)
28.7	100.0
30.6	42.6
33.1	85.4
34.5	34.7
37.1	37.6
57.3	53.5


Entry 3:
The following is a computed X-ray powder pattern of La2Ag4SnGe3. It was derived from a crystal structure in Alexandria, relaxed with GGA-PBE, using Cu Ka.
No peak broadening, texture or thermal motion is included.

Structural model:
```
data_La2Ag4SnGe3
_chemical_formula_sum 'La2 Ag4 Sn1 Ge3'
_space_group_name_H-M_alt 'P 1'
_space_group_IT_number 1
_cell_length_a 4.453
_cell_length_b 4.453
_cell_length_c 11.316
_cell_angle_alpha 90.00
_cell_angle_beta 90.00
_cell_angle_gamma 90.00
loop_
_space_group_symop_operation_xyz
'x,y,z'
loop_
_atom_site_label
_atom_site_fract_x
_atom_site_fract_y
_atom_site_fract_z
La1 0.000 0.500 0.232
La2 0.500 0.000 0.768
Ag1 0.000 0.000 0.000
Ag2 0.000 0.500 0.646
Ag3 0.500 0.000 0.354
Ag4 0.500 0.500 0.000
Sn1 0.000 0.000 0.500
Ge1 0.000 0.500 0.869
Ge2 0.500 0.000 0.131
Ge3 0.500 0.500 0.500
```

Largest 6 diffraction maxima, sorted by position, 10 to 80 degrees two-theta:
2θ/deg	I (rel.)
31.1	38.1
32.5	100.0
40.5	54.5
43.0	21.6
44.9	23.6
68.7	22.3